Starting from a cell relaxed with PBE, the X-ray diffraction stick pattern of Dy2HoGa3FeGe2 was simulated for Cu Kα (weighted mean of Kα1 and Kα2).

The 10 most intense peaks (2θ from 10° to 90°), in order of rising 2θ:
Position (°2θ)	intensity	index
25.61	18	0 3 1
33.64	100	1 3 1
36.89	59	1 4 0
39.58	36	0 4 2
43.70	24	2 0 0
45.15	18	0 3 3
45.45	12	1 1 3
59.67	23	1 7 1
60.41	20	2 4 2
72.03	16	1 7 3

Cell and atoms:
a b c (Å): 4.143 12.041 6.960
angles (deg): 90.00 90.00 90.00
Space group Amm2 (No. 38)
One atom of each set of equivalent atoms:
1 Dy 0.000 0.200 0.000 (multiplicity 4)
2 Ho 0.000 0.000 0.599 (multiplicity 2)
3 Ga 0.500 0.000 0.974 (multiplicity 2)
4 Ga 0.500 0.113 0.313 (multiplicity 4)
5 Fe 0.000 0.000 0.200 (multiplicity 2)
6 Ge 0.500 0.166 0.700 (multiplicity 4)